Calculated X-ray diffraction stick pattern of CoBi2SbO8 for Cu Ka, from a cell relaxed with GGA+U.
Peak positions follow from Bragg's law for the DFT cell and can differ from measured ones.

Largest 6 diffraction maxima, sorted by position, 2θ from 10° to 80°:
18.20 deg, rel. 29.5; 25.79 deg, rel. 56.3; 25.91 deg, rel. 53.2; 32.27 deg, rel. 100.0; 49.74 deg, rel. 40.1; 49.87 deg, rel. 37.3

Structural model:
a b c (Å): 4.8742 4.8742 6.7481
angles (deg): 90.00 90.00 90.25
Positions (direct):
Co: 0.0000 0.0000 0.0000
Bi: 0.5000 0.5000 0.2442
Bi: 0.5000 0.5000 0.7558
Sb: 0.0000 0.0000 0.5000
O: 0.1823 0.8177 0.2641
O: 0.1823 0.8177 0.7359
O: 0.2910 0.2910 0.0000
O: 0.2954 0.2954 0.5000
O: 0.7046 0.7046 0.5000
O: 0.7090 0.7090 0.0000
O: 0.8177 0.1823 0.2641
O: 0.8177 0.1823 0.7359